(1)
Theoretical XRD peak list of CaCrH2 for Cu Kα (weighted mean of Kα1 and Kα2), from a PBE-relaxed structure.

```
data_CaCrH2
_cell_length_a 5.0422
_cell_length_b 5.0422
_cell_length_c 7.0069
_cell_angle_alpha 90.00
_cell_angle_beta 90.00
_cell_angle_gamma 90.00
_symmetry_space_group_name_H-M 'P 1'
_symmetry_Int_Tables_number 1
loop_
_symmetry_equiv_pos_as_xyz
'x,y,z'
loop_
_atom_site_label
_atom_site_type_symbol
_atom_site_fract_x
_atom_site_fract_y
_atom_site_fract_z
Ca1 Ca 0.0000 0.0000 0.0000
Ca2 Ca 0.0000 0.5000 0.2500
Ca3 Ca 0.5000 0.0000 0.7500
Ca4 Ca 0.5000 0.5000 0.5000
Cr1 Cr 0.0000 0.0000 0.5000
Cr2 Cr 0.0000 0.5000 0.7500
Cr3 Cr 0.5000 0.0000 0.2500
Cr4 Cr 0.5000 0.5000 0.0000
H1 H 0.1617 0.7500 0.6250
H2 H 0.2500 0.1617 0.3750
H3 H 0.2500 0.3383 0.8750
H4 H 0.3383 0.7500 0.1250
H5 H 0.6617 0.2500 0.1250
H6 H 0.7500 0.6617 0.8750
H7 H 0.7500 0.8383 0.3750
H8 H 0.8383 0.2500 0.6250
```

Largest 10 diffraction maxima, by intensity, 2θ from 10° to 90°:
| 2theta | Rel. int. |
| --- | --- |
| 35.94 | 100 |
| 35.61 | 49 |
| 64.18 | 31 |
| 51.25 | 17 |
| 64.81 | 15 |
| 76.20 | 9 |
| 52.22 | 7 |
| 86.28 | 6 |
| 86.47 | 6 |
| 88.00 | 6 |

=====

(2)
Theoretical XRD peak list of CaCrNi2H8 for Cu Kα (weighted mean of Kα1 and Kα2), from a PBE-relaxed structure.

```
data_CaCrNi2H8
_cell_length_a 5.9277
_cell_length_b 5.9277
_cell_length_c 5.9277
_cell_angle_alpha 45.51
_cell_angle_beta 45.51
_cell_angle_gamma 45.51
_symmetry_space_group_name_H-M 'P 1'
_symmetry_Int_Tables_number 1
loop_
_symmetry_equiv_pos_as_xyz
'x,y,z'
loop_
_atom_site_label
_atom_site_type_symbol
_atom_site_fract_x
_atom_site_fract_y
_atom_site_fract_z
Ca1 Ca 0.0000 0.0000 0.0000
Cr1 Cr 0.5000 0.5000 0.5000
Ni1 Ni 0.2043 0.2043 0.2043
Ni2 Ni 0.7957 0.7957 0.7957
H1 H 0.1208 0.8135 0.4153
H2 H 0.1865 0.5847 0.8792
H3 H 0.3029 0.3029 0.3029
H4 H 0.4153 0.1208 0.8135
H5 H 0.5847 0.8792 0.1865
H6 H 0.6971 0.6971 0.6971
H7 H 0.8135 0.4153 0.1208
H8 H 0.8792 0.1865 0.5847
```

Largest 10 diffraction maxima, by intensity, 2θ from 10° to 90°:
| 2theta | Rel. int. |
| --- | --- |
| 39.30 | 100 |
| 31.84 | 80 |
| 16.72 | 77 |
| 42.98 | 35 |
| 36.17 | 33 |
| 62.93 | 22 |
| 52.78 | 21 |
| 46.01 | 21 |
| 89.82 | 20 |
| 51.44 | 19 |